This entry pairs a crystal structure of Pm2Pr2Zn3 with its calculated PXRD pattern. Radiation: λ = 1.5418 Å (Cu Kα). Structure: DFT lattice parameters and positions (PBE).
Lines closer than 0.1° are merged.

Peak list (12 most intense, 2θ from 10° to 80°, most intense first)
| 2θ/deg | d (Å) | I (rel.) |
| --- | --- | --- |
| 34.5 | 2.596 | 100.0 |
| 35.1 | 2.560 | 62.2 |
| 24.5 | 3.638 | 33.3 |
| 35.2 | 2.553 | 30.8 |
| 62.3 | 1.490 | 22.9 |
| 50.2 | 1.819 | 22.3 |
| 24.3 | 3.656 | 16.9 |
| 62.0 | 1.498 | 12.0 |
| 62.1 | 1.494 | 11.6 |
| 42.8 | 2.114 | 11.5 |
| 49.9 | 1.828 | 11.4 |
| 63.4 | 1.468 | 9.9 |

Cell: 5.184 5.195 8.807 Å, 73.15 72.94 60.11°
Space group P-1 (No. 2)
Inequivalent atoms, fractional coordinates:
Pm (0.128, 0.127, 0.117) (multiplicity 2)
Pr (0.380, 0.380, 0.360) (multiplicity 2)
Zn (0.000, 0.000, 0.500) (multiplicity 1)
Zn (0.251, 0.252, 0.745) (multiplicity 2)